Entry 1:
Diffraction record for Cs5RbP. The powder X-ray diffraction pattern is simulated, not measured: it uses a structure optimized by DFT (GGA-PBE) and a wavelength of 1.5418 Å.
No peak broadening, texture or thermal motion is included.

Principal peaks in the range 2θ = 10–90°, most intense first:
| d [Å] | 2theta | I/Imax |
| --- | --- | --- |
| 4.358 | 20.38 | 100 |
| 4.175 | 21.28 | 96 |
| 3.223 | 27.68 | 49 |
| 3.694 | 24.09 | 45 |
| 4.450 | 19.95 | 34 |
| 2.039 | 44.43 | 26 |
| 2.273 | 39.65 | 25 |
| 2.429 | 37.00 | 23 |
| 2.428 | 37.03 | 22 |
| 2.842 | 31.47 | 21 |

Atomic structure:
```
data_Cs5RbP
_chemical_formula_sum 'Cs20 Rb4 P4'
_cell_length_a 17.790
_cell_length_b 10.656
_cell_length_c 14.777
_cell_angle_alpha 90.00
_cell_angle_beta 114.50
_cell_angle_gamma 90.00
_space_group_name_H-M_alt 'C 1 2/c 1'
_space_group_IT_number 15
_space_group_name_Hall '-C 2yc'
loop_
_atom_site_label
_atom_site_fract_x
_atom_site_fract_y
_atom_site_fract_z
Cs1 0.000 0.002 0.250
Cs2 0.144 0.225 0.071
Cs3 0.147 0.221 0.575
Rb1 0.000 0.500 0.250
P1 0.000 0.000 0.000
```

Entry 2:
Diffraction record for Cs2Rb2P3. The powder X-ray diffraction pattern is simulated, not measured: it uses a structure optimized by DFT (GGA-PBE) and a wavelength of 1.5418 Å.
No peak broadening, texture or thermal motion is included.

Principal peaks in the range 2θ = 10–90°, most intense first:
| d [Å] | 2theta | I/Imax |
| --- | --- | --- |
| 3.300 | 27.02 | 100 |
| 2.999 | 29.79 | 96 |
| 4.855 | 18.27 | 49 |
| 2.626 | 34.14 | 43 |
| 3.040 | 29.38 | 32 |
| 3.360 | 26.53 | 27 |
| 3.181 | 28.05 | 26 |
| 3.445 | 25.86 | 25 |
| 2.356 | 38.21 | 21 |
| 2.558 | 35.09 | 19 |

Atomic structure:
```
data_Cs2Rb2P3
_chemical_formula_sum 'Cs4 Rb4 P6'
_cell_length_a 14.044
_cell_length_b 5.253
_cell_length_c 7.418
_cell_angle_alpha 90.00
_cell_angle_beta 115.04
_cell_angle_gamma 90.00
_space_group_name_H-M_alt 'C 1 2/m 1'
_space_group_IT_number 12
_space_group_name_Hall '-C 2y'
loop_
_atom_site_label
_atom_site_fract_x
_atom_site_fract_y
_atom_site_fract_z
Cs1 0.123 0.000 0.292
Rb1 0.163 0.000 0.795
P1 0.000 0.500 0.500
P2 0.054 0.500 0.929
```

Entry 3:
Diffraction record for CsReP. The powder X-ray diffraction pattern is simulated, not measured: it uses a structure optimized by DFT (GGA-PBE) and a wavelength of 1.5418 Å.
No peak broadening, texture or thermal motion is included.

Principal peaks in the range 2θ = 10–90°, most intense first:
| d [Å] | 2theta | I/Imax |
| --- | --- | --- |
| 3.778 | 23.55 | 100 |
| 2.770 | 32.31 | 72 |
| 2.938 | 30.43 | 71 |
| 7.237 | 12.23 | 69 |
| 6.623 | 13.37 | 61 |
| 4.208 | 21.11 | 56 |
| 3.510 | 25.37 | 55 |
| 6.049 | 14.64 | 38 |
| 2.750 | 32.56 | 34 |
| 1.874 | 48.59 | 34 |

Atomic structure:
```
data_CsReP
_chemical_formula_sum 'Cs4 Re4 P4'
_cell_length_a 14.134
_cell_length_b 3.761
_cell_length_c 8.454
_cell_angle_alpha 90.00
_cell_angle_beta 121.13
_cell_angle_gamma 90.00
_space_group_name_H-M_alt 'C 1 2/m 1'
_space_group_IT_number 12
_space_group_name_Hall '-C 2y'
loop_
_atom_site_label
_atom_site_fract_x
_atom_site_fract_y
_atom_site_fract_z
Cs1 0.064 0.000 0.322
Re1 0.220 0.500 0.061
P1 0.177 0.500 0.747
```

Entry 4:
Diffraction record for CsP2Rh4. The powder X-ray diffraction pattern is simulated, not measured: it uses a structure optimized by DFT (GGA-PBE) and a wavelength of 1.5418 Å.
No peak broadening, texture or thermal motion is included.

Principal peaks in the range 2θ = 10–90°, most intense first:
| d [Å] | 2theta | I/Imax |
| --- | --- | --- |
| 2.533 | 35.44 | 100 |
| 1.902 | 47.84 | 42 |
| 2.213 | 40.77 | 34 |
| 3.034 | 29.44 | 25 |
| 2.013 | 45.03 | 24 |
| 2.945 | 30.35 | 22 |
| 1.932 | 47.04 | 21 |
| 1.394 | 67.16 | 14 |
| 3.355 | 26.57 | 14 |
| 1.251 | 76.07 | 13 |

Atomic structure:
```
data_CsP2Rh4
_chemical_formula_sum 'Cs2 P4 Rh8'
_cell_length_a 4.026
_cell_length_b 18.203
_cell_length_c 3.864
_cell_angle_alpha 90.00
_cell_angle_beta 90.00
_cell_angle_gamma 90.00
_space_group_name_H-M_alt 'C m m m'
_space_group_IT_number 65
_space_group_name_Hall '-C 2 2'
loop_
_atom_site_label
_atom_site_fract_x
_atom_site_fract_y
_atom_site_fract_z
Cs1 0.000 0.000 0.000
P1 0.000 0.370 0.500
Rh1 0.000 0.190 0.500
Rh2 0.000 0.301 0.000
```

Entry 5:
Diffraction record for CsPS6. The powder X-ray diffraction pattern is simulated, not measured: it uses a structure optimized by DFT (GGA-PBE) and a wavelength of 1.5418 Å.
No peak broadening, texture or thermal motion is included.

Principal peaks in the range 2θ = 10–90°, most intense first:
| d [Å] | 2theta | I/Imax |
| --- | --- | --- |
| 8.188 | 10.81 | 100 |
| 4.552 | 19.50 | 74 |
| 4.583 | 19.37 | 65 |
| 2.545 | 35.27 | 44 |
| 3.035 | 29.43 | 43 |
| 3.384 | 26.33 | 39 |
| 3.100 | 28.80 | 33 |
| 2.753 | 32.52 | 33 |
| 2.531 | 35.47 | 29 |
| 3.013 | 29.65 | 29 |

Atomic structure:
```
data_CsPS6
_chemical_formula_sum 'Cs2 P2 S12'
_cell_length_a 9.799
_cell_length_b 18.209
_cell_length_c 3.525
_cell_angle_alpha 90.00
_cell_angle_beta 110.70
_cell_angle_gamma 90.00
_space_group_name_H-M_alt 'C 1 2/m 1'
_space_group_IT_number 12
_space_group_name_Hall '-C 2y'
loop_
_atom_site_label
_atom_site_fract_x
_atom_site_fract_y
_atom_site_fract_z
Cs1 0.000 0.000 0.000
P1 0.000 0.500 0.500
S1 0.065 0.191 0.338
S2 0.160 0.500 0.157
```

Entry 6:
Diffraction record for Cs2P2S5. The powder X-ray diffraction pattern is simulated, not measured: it uses a structure optimized by DFT (GGA-PBE) and a wavelength of 1.5418 Å.
No peak broadening, texture or thermal motion is included.

Principal peaks in the range 2θ = 10–90°, most intense first:
| d [Å] | 2theta | I/Imax |
| --- | --- | --- |
| 2.818 | 31.75 | 100 |
| 3.907 | 22.76 | 93 |
| 3.209 | 27.80 | 62 |
| 2.495 | 35.99 | 47 |
| 3.959 | 22.46 | 45 |
| 3.256 | 27.39 | 43 |
| 2.784 | 32.15 | 37 |
| 4.640 | 19.13 | 28 |
| 1.972 | 46.02 | 27 |
| 4.511 | 19.68 | 26 |

Atomic structure:
```
data_Cs2P2S5
_chemical_formula_sum 'Cs4 P4 S10'
_cell_length_a 12.961
_cell_length_b 4.993
_cell_length_c 8.622
_cell_angle_alpha 90.00
_cell_angle_beta 104.34
_cell_angle_gamma 90.00
_space_group_name_H-M_alt 'C 1 2/m 1'
_space_group_IT_number 12
_space_group_name_Hall '-C 2y'
loop_
_atom_site_label
_atom_site_fract_x
_atom_site_fract_y
_atom_site_fract_z
Cs1 0.087 0.000 0.323
P1 0.156 0.500 0.910
S1 0.000 0.500 0.000
S2 0.127 0.500 0.668
S3 0.177 0.000 0.975
```

Entry 7:
Diffraction record for Cs2P4S5. The powder X-ray diffraction pattern is simulated, not measured: it uses a structure optimized by DFT (GGA-PBE) and a wavelength of 1.5418 Å.
No peak broadening, texture or thermal motion is included.

Principal peaks in the range 2θ = 10–90°, most intense first:
| d [Å] | 2theta | I/Imax |
| --- | --- | --- |
| 4.057 | 21.91 | 100 |
| 6.136 | 14.44 | 84 |
| 3.197 | 27.91 | 70 |
| 3.165 | 28.19 | 55 |
| 3.433 | 25.95 | 54 |
| 6.035 | 14.68 | 49 |
| 6.328 | 14.00 | 48 |
| 3.573 | 24.92 | 42 |
| 3.001 | 29.77 | 42 |
| 3.344 | 26.66 | 41 |

Atomic structure:
```
data_Cs2P4S5
_chemical_formula_sum 'Cs2 P4 S5'
_cell_length_a 7.299
_cell_length_b 7.623
_cell_length_c 9.031
_cell_angle_alpha 110.13
_cell_angle_beta 94.52
_cell_angle_gamma 118.43
_space_group_name_H-M_alt 'P -1'
_space_group_IT_number 2
_space_group_name_Hall '-P 1'
loop_
_atom_site_label
_atom_site_fract_x
_atom_site_fract_y
_atom_site_fract_z
Cs1 0.106 0.340 0.230
P1 0.135 0.983 0.522
P2 0.283 0.367 0.740
S1 0.064 0.826 0.254
S2 0.336 0.605 0.672
S3 0.500 0.500 0.000
```

Entry 8:
Diffraction record for CsScP2S8. The powder X-ray diffraction pattern is simulated, not measured: it uses a structure optimized by DFT (GGA-PBE) and a wavelength of 1.5418 Å.
No peak broadening, texture or thermal motion is included.

Principal peaks in the range 2θ = 10–90°, most intense first:
| d [Å] | 2theta | I/Imax |
| --- | --- | --- |
| 3.598 | 24.74 | 100 |
| 2.932 | 30.49 | 85 |
| 2.601 | 34.48 | 67 |
| 4.674 | 18.99 | 65 |
| 1.775 | 51.50 | 40 |
| 3.074 | 29.05 | 38 |
| 3.254 | 27.40 | 36 |
| 1.911 | 47.57 | 31 |
| 2.219 | 40.66 | 31 |
| 1.557 | 59.34 | 29 |

Atomic structure:
```
data_CsScP2S8
_chemical_formula_sum 'Cs1 Sc1 P2 S8'
_cell_length_a 6.1475
_cell_length_b 6.1475
_cell_length_c 9.7634
_cell_angle_alpha 90.00
_cell_angle_beta 90.00
_cell_angle_gamma 120.00
_space_group_name_H-M_alt 'P -3'
_space_group_IT_number 147
_space_group_name_Hall '-P 3'
loop_
_atom_site_label
_atom_site_fract_x
_atom_site_fract_y
_atom_site_fract_z
Cs1 0.0000 0.0000 0.0000
Sc1 0.0000 0.0000 0.5000
P1 0.3333 0.6667 0.7085
S1 0.0028 0.3543 0.6491
S2 0.3333 0.6667 0.9154
```

Entry 9:
Diffraction record for Cs2PSeS4. The powder X-ray diffraction pattern is simulated, not measured: it uses a structure optimized by DFT (GGA-PBE) and a wavelength of 1.5418 Å.
No peak broadening, texture or thermal motion is included.

Principal peaks in the range 2θ = 10–90°, most intense first:
| d [Å] | 2theta | I/Imax |
| --- | --- | --- |
| 4.987 | 17.79 | 100 |
| 3.411 | 26.12 | 93 |
| 2.464 | 36.47 | 54 |
| 3.380 | 26.37 | 50 |
| 2.429 | 37.01 | 37 |
| 2.268 | 39.75 | 28 |
| 2.260 | 39.90 | 24 |
| 3.180 | 28.06 | 21 |
| 2.561 | 35.04 | 19 |
| 3.471 | 25.66 | 19 |

Atomic structure:
```
data_Cs2PSeS4
_chemical_formula_sum 'Cs8 P4 Se4 S16'
_cell_length_a 10.246
_cell_length_b 10.184
_cell_length_c 11.122
_cell_angle_alpha 90.00
_cell_angle_beta 116.26
_cell_angle_gamma 90.00
_space_group_name_H-M_alt 'C 1 2/c 1'
_space_group_IT_number 15
_space_group_name_Hall '-C 2yc'
loop_
_atom_site_label
_atom_site_fract_x
_atom_site_fract_y
_atom_site_fract_z
Cs1 0.000 0.000 0.000
Cs2 0.250 0.250 0.000
P1 0.250 0.250 0.500
Se1 0.000 0.500 0.000
S1 0.136 0.414 0.370
S2 0.149 0.303 0.642
```

Entry 10:
Diffraction record for CsTiP2S8. The powder X-ray diffraction pattern is simulated, not measured: it uses a structure optimized by DFT (GGA-PBE) and a wavelength of 1.5418 Å.
No peak broadening, texture or thermal motion is included.

Principal peaks in the range 2θ = 10–90°, most intense first:
| d [Å] | 2theta | I/Imax |
| --- | --- | --- |
| 5.110 | 17.35 | 100 |
| 6.362 | 13.92 | 81 |
| 3.075 | 29.04 | 71 |
| 4.805 | 18.47 | 65 |
| 3.773 | 23.58 | 63 |
| 3.124 | 28.57 | 60 |
| 2.991 | 29.87 | 56 |
| 4.656 | 19.06 | 54 |
| 3.932 | 22.61 | 49 |
| 2.800 | 31.96 | 46 |

Atomic structure:
```
data_CsTiP2S8
_chemical_formula_sum 'Cs8 Ti8 P16 S64'
_cell_length_a 22.029
_cell_length_b 7.321
_cell_length_c 18.220
_cell_angle_alpha 90.00
_cell_angle_beta 99.41
_cell_angle_gamma 90.00
_space_group_name_H-M_alt 'C 1 c 1'
_space_group_IT_number 9
_space_group_name_Hall 'C -2yc'
loop_
_atom_site_label
_atom_site_fract_x
_atom_site_fract_y
_atom_site_fract_z
Cs1 0.000 0.199 0.000
Cs2 0.355 0.246 0.790
Ti1 0.098 0.358 0.769
Ti2 0.243 0.138 0.518
P1 0.169 0.368 0.384
P2 0.174 0.200 0.652
P3 0.361 0.119 0.028
P4 0.460 0.256 0.263
S1 0.037 0.093 0.803
S2 0.089 0.322 0.635
S3 0.131 0.384 0.903
S4 0.139 0.164 0.446
S5 0.146 0.343 0.271
S6 0.183 0.040 0.096
S7 0.189 0.164 0.765
S8 0.237 0.368 0.615
S9 0.262 0.353 0.423
S10 0.273 0.150 0.968
S11 0.349 0.315 0.114
S12 0.355 0.142 0.569
S13 0.393 0.249 0.321
S14 0.433 0.174 0.982
S15 0.434 0.409 0.160
S16 0.496 0.006 0.239
```

Entry 11:
Diffraction record for Cs2TmP2S6. The powder X-ray diffraction pattern is simulated, not measured: it uses a structure optimized by DFT (GGA-PBE) and a wavelength of 1.5418 Å.
No peak broadening, texture or thermal motion is included.

Principal peaks in the range 2θ = 10–90°, most intense first:
| d [Å] | 2theta | I/Imax |
| --- | --- | --- |
| 3.530 | 25.23 | 100 |
| 4.060 | 21.89 | 88 |
| 3.478 | 25.61 | 83 |
| 2.629 | 34.11 | 80 |
| 3.511 | 25.37 | 48 |
| 2.700 | 33.17 | 43 |
| 5.887 | 15.05 | 39 |
| 2.030 | 44.63 | 37 |
| 3.573 | 24.92 | 35 |
| 2.003 | 45.27 | 34 |

Atomic structure:
```
data_Cs2TmP2S6
_chemical_formula_sum 'Cs4 Tm2 P4 S12'
_cell_length_a 12.259
_cell_length_b 7.022
_cell_length_c 8.112
_cell_angle_alpha 90.00
_cell_angle_beta 118.22
_cell_angle_gamma 90.00
_space_group_name_H-M_alt 'C 1 2/m 1'
_space_group_IT_number 12
_space_group_name_Hall '-C 2y'
loop_
_atom_site_label
_atom_site_fract_x
_atom_site_fract_y
_atom_site_fract_z
Cs1 0.220 0.000 0.193
Tm1 0.000 0.000 0.500
P1 0.059 0.500 0.186
S1 0.021 0.257 0.769
S2 0.247 0.000 0.648
```

Entry 12:
Diffraction record for CsYP2S8. The powder X-ray diffraction pattern is simulated, not measured: it uses a structure optimized by DFT (GGA-PBE) and a wavelength of 1.5418 Å.
No peak broadening, texture or thermal motion is included.

Principal peaks in the range 2θ = 10–90°, most intense first:
| d [Å] | 2theta | I/Imax |
| --- | --- | --- |
| 3.650 | 24.39 | 100 |
| 2.640 | 33.96 | 58 |
| 2.976 | 30.02 | 39 |
| 3.121 | 28.61 | 36 |
| 5.405 | 16.40 | 35 |
| 1.939 | 46.86 | 29 |
| 1.888 | 48.19 | 29 |
| 1.802 | 50.67 | 29 |
| 4.744 | 18.71 | 27 |
| 2.250 | 40.08 | 27 |

Atomic structure:
```
data_CsYP2S8
_chemical_formula_sum 'Cs1 Y1 P2 S8'
_cell_length_a 6.2412
_cell_length_b 6.2412
_cell_length_c 9.8980
_cell_angle_alpha 90.00
_cell_angle_beta 90.00
_cell_angle_gamma 120.00
_space_group_name_H-M_alt 'P -3'
_space_group_IT_number 147
_space_group_name_Hall '-P 3'
loop_
_atom_site_label
_atom_site_fract_x
_atom_site_fract_y
_atom_site_fract_z
Cs1 0.0000 0.0000 0.0000
Y1 0.0000 0.0000 0.5000
P1 0.3333 0.6667 0.7179
S1 0.0026 0.3679 0.6597
S2 0.3333 0.6667 0.9227
```